# CaVAsO5
Simulated XRD peak list, copper Kα. Input: the PBE+U geometry in Alexandria.
Peak positions follow from Bragg's law for the DFT cell and can differ from measured ones.

Peak list (10 most intense, 2θ = 10–80°, in order of rising 2θ)
- 15.1 deg, I 29
- 17.7 deg, I 47
- 21.1 deg, I 38
- 27.4 deg, I 100
- 30.5 deg, I 37
- 32.0 deg, I 54
- 33.3 deg, I 59
- 34.0 deg, I 56
- 35.4 deg, I 41
- 56.0 deg, I 36

Crystal structure
```
data_CaVAsO5
_chemical_formula_sum 'Ca4 V4 As4 O20'
_symmetry_space_group_name_H-M 'P 21 21 21'
_symmetry_Int_Tables_number 19
_symmetry_space_group_name_Hall 'P 2ac 2ab'
_cell_length_a 6.048
_cell_length_b 7.735
_cell_length_c 9.002
_cell_angle_alpha 90.00
_cell_angle_beta 90.00
_cell_angle_gamma 90.00
loop_
_atom_site_label
_atom_site_type_symbol
_atom_site_fract_x
_atom_site_fract_y
_atom_site_fract_z
Ca1 Ca 0.025 0.155 0.338
V1 V 0.247 0.259 0.997
As1 As 0.020 0.594 0.800
O1 O 0.007 0.136 0.090
O2 O 0.010 0.916 0.583
O3 O 0.096 0.756 0.918
O4 O 0.232 0.123 0.789
O5 O 0.240 0.572 0.679
```